This entry pairs a crystal structure of Cs2Li2PaO4 with its theoretical XRD peak list. Radiation: Cu Kα (λ = 1.5418 Å). Structure: a structure optimized by DFT (GGA-PBE).
No peak broadening, texture or thermal motion is included.

Crystal structure
```
data_Cs2Li2PaO4
_space_group_name_H-M_alt 'C 1 2/m 1'
_space_group_IT_number 12
_cell_length_a 12.8654
_cell_length_b 3.6577
_cell_length_c 7.2194
_cell_angle_alpha 90.00
_cell_angle_beta 110.47
_cell_angle_gamma 90.00
loop_
_space_group_symop_operation_xyz
'x,y,z'
'-x,-y,-z'
'-x,y,-z'
'x,-y,z'
'x+1/2,y+1/2,z'
'-x+1/2,-y+1/2,-z'
'-x+1/2,y+1/2,-z'
'x+1/2,-y+1/2,z'
loop_
_atom_site_label
_atom_site_fract_x
_atom_site_fract_y
_atom_site_fract_z
Cs1 0.1479 0.0000 0.0875
Li1 0.1813 0.5000 0.4786
Pa1 0.0000 0.0000 0.5000
O1 0.0168 0.5000 0.3118
O2 0.1853 0.0000 0.6033
```

Main lines, most intense first (15 to 90 degrees two-theta):
2θ 34.97, I 100, (1 1 -2); 2θ 25.45, I 98, (1 1 0); 2θ 22.94, I 80, (2 0 1); 2θ 27.88, I 66, (4 0 -1); 2θ 25.29, I 61, (2 0 -2); 2θ 32.63, I 54, (3 1 -1); 2θ 38.65, I 53, (3 1 1); 2θ 26.35, I 41, (0 0 2); 2θ 56.71, I 31, (7 1 -2); 2θ 42.98, I 29, (5 1 -1)